# Ce4TcO10
Theoretical XRD peak list, CuKα. Input: a PBE-relaxed structure.
Intensities are scaled so that the largest is 100.

```
data_Ce4TcO10
_chemical_formula_sum 'Ce12 Tc3 O30'
_cell_length_a 3.7944
_cell_length_b 3.7944
_cell_length_c 46.2503
_cell_angle_alpha 90.00
_cell_angle_beta 90.00
_cell_angle_gamma 120.00
_symmetry_space_group_name_H-M 'R -3 m'
_symmetry_Int_Tables_number 166
_symmetry_space_group_name_Hall '-R 3 2"'
loop_
_atom_site_label
_atom_site_fract_x
_atom_site_fract_y
_atom_site_fract_z
Ce1 0.0000 0.0000 0.1043
Ce2 0.0000 0.0000 0.2986
Tc1 0.0000 0.0000 0.5000
O1 0.0000 0.0000 0.0527
O2 0.0000 0.0000 0.1572
O3 0.0000 0.0000 0.2458
O4 0.0000 0.0000 0.3507
O5 0.0000 0.0000 0.4560
```

Most intense lines, 2θ = 5–70°, in order of rising 2θ:
2θ 28.83, rel. 100, hkl 0 1 5
2θ 28.96, rel. 32, hkl 0 0 15
2θ 33.45, rel. 37, hkl 1 0 10
2θ 47.95, rel. 37, hkl 1 1 0
2θ 48.11, rel. 31, hkl 0 1 20
2θ 56.97, rel. 43, hkl 2 0 5

# NdSmDy4Ho2
Theoretical XRD peak list, CuKα. Input: a PBE-relaxed structure.
Intensities are scaled so that the largest is 100.

```
data_NdSmDy4Ho2
_chemical_formula_sum 'Nd4 Sm4 Dy16 Ho8'
_cell_length_a 6.807
_cell_length_b 11.793
_cell_length_c 13.261
_cell_angle_alpha 90.00
_cell_angle_beta 90.00
_cell_angle_gamma 90.00
_symmetry_space_group_name_H-M 'I m m a'
_symmetry_Int_Tables_number 74
_symmetry_space_group_name_Hall '-I 2b 2'
loop_
_atom_site_label
_atom_site_fract_x
_atom_site_fract_y
_atom_site_fract_z
Nd1 0.000 0.000 0.000
Sm1 0.250 0.250 0.250
Dy1 0.000 0.003 0.748
Dy2 0.248 0.250 0.503
Ho1 0.000 0.000 0.500
Ho2 0.250 0.250 0.750
```

Most intense lines, 2θ = 5–70°, in order of rising 2θ:
2θ 26.89, rel. 45, hkl 0 0 4
2θ 30.32, rel. 100, hkl 2 2 0
2θ 40.97, rel. 89, hkl 2 2 4
2θ 53.87, rel. 20, hkl 4 0 0
2θ 61.22, rel. 27, hkl 4 0 4
2θ 64.49, rel. 23, hkl 2 2 8

# Er4GaRh2
Theoretical XRD peak list, CuKα. Input: a PBE-relaxed structure.
Intensities are scaled so that the largest is 100.

```
data_Er4GaRh2
_chemical_formula_sum 'Er8 Ga2 Rh4'
_cell_length_a 7.015
_cell_length_b 7.078
_cell_length_c 7.456
_cell_angle_alpha 106.03
_cell_angle_beta 107.02
_cell_angle_gamma 104.53
_symmetry_space_group_name_H-M 'P 1'
_symmetry_Int_Tables_number 1
loop_
_symmetry_equiv_pos_as_xyz
'x,y,z'
loop_
_atom_site_label
_atom_site_fract_x
_atom_site_fract_y
_atom_site_fract_z
Er1 0.000 0.000 0.000
Er2 0.029 0.179 0.586
Er3 0.274 0.540 0.338
Er4 0.401 0.959 0.810
Er5 0.455 0.124 0.401
Er6 0.631 0.761 0.172
Er7 0.826 0.419 0.924
Er8 0.869 0.620 0.542
Ga1 0.449 0.507 0.734
Ga2 0.758 0.228 0.209
Rh1 0.063 0.812 0.299
Rh2 0.188 0.646 0.908
Rh3 0.398 0.330 0.047
Rh4 0.671 0.914 0.614
```

Most intense lines, 2θ = 5–70°, in order of rising 2θ:
2θ 30.82, rel. 48, hkl 2 0 -2
2θ 31.71, rel. 55, hkl 1 -1 2
2θ 32.11, rel. 100, hkl -1 2 1
2θ 33.96, rel. 94, hkl 2 1 -2
2θ 34.77, rel. 50, hkl -2 2 1
2θ 37.69, rel. 48, hkl 1 0 -3

# Rb2ZrTe4
Theoretical XRD peak list, CuKα. Input: a PBE-relaxed structure.
Intensities are scaled so that the largest is 100.

```
data_Rb2ZrTe4
_chemical_formula_sum 'Rb2 Zr1 Te4'
_cell_length_a 8.388
_cell_length_b 4.254
_cell_length_c 8.756
_cell_angle_alpha 90.00
_cell_angle_beta 109.63
_cell_angle_gamma 90.00
_symmetry_space_group_name_H-M 'P 1 2/m 1'
_symmetry_Int_Tables_number 10
loop_
_symmetry_equiv_pos_as_xyz
'x,y,z'
'-x,-y,-z'
'-x,y,-z'
'x,-y,z'
loop_
_atom_site_label
_atom_site_fract_x
_atom_site_fract_y
_atom_site_fract_z
Rb1 0.200 0.000 0.314
Zr1 0.500 0.500 0.000
Te1 0.127 0.500 0.915
Te2 0.412 0.000 0.757
```

Most intense lines, 2θ = 5–70°, in order of rising 2θ:
2θ 10.73, rel. 70, hkl 0 0 1
2θ 21.43, rel. 27, hkl 2 0 -1
2θ 23.53, rel. 49, hkl 0 1 1
2θ 30.16, rel. 100, hkl 0 1 2
2θ 32.01, rel. 33, hkl 3 0 -1
2θ 35.30, rel. 29, hkl 2 1 1